Theoretical XRD peak list of Rb2Pb2Se3 for Cu Kα, from a crystal structure in Alexandria, relaxed with GGA-PBE.
Intensities are scaled so that the largest is 100.

Principal peaks in the range 10 to 90 degrees two-theta, by angle:
12.0 deg, rel. 42
18.7 deg, rel. 66
19.6 deg, rel. 29
21.2 deg, rel. 27
22.3 deg, rel. 84
29.8 deg, rel. 38
30.7 deg, rel. 77
31.2 deg, rel. 40
32.2 deg, rel. 52
33.8 deg, rel. 100

abc: 12.020 12.020 9.067
angles: 112.10 112.10 87.75
Sites, in units of the cell vectors:
Rb 0.068 0.932 0.750
Rb 0.222 0.778 0.250
Rb 0.306 0.471 0.920
Rb 0.471 0.306 0.420
Rb 0.529 0.694 0.580
Rb 0.694 0.529 0.080
Rb 0.778 0.222 0.750
Rb 0.932 0.068 0.250
Pb 0.072 0.588 0.410
Pb 0.114 0.274 0.093
Pb 0.274 0.114 0.593
Pb 0.412 0.928 0.090
Pb 0.588 0.072 0.910
Pb 0.726 0.886 0.407
Pb 0.886 0.726 0.907
Pb 0.928 0.412 0.590
Se 0.080 0.230 0.716
Se 0.083 0.637 0.769
Se 0.230 0.080 0.216
Se 0.269 0.490 0.287
Se 0.363 0.917 0.731
Se 0.490 0.269 0.787
Se 0.510 0.731 0.213
Se 0.637 0.083 0.269
Se 0.731 0.510 0.713
Se 0.770 0.920 0.784
Se 0.917 0.363 0.231
Se 0.920 0.770 0.284